Record 1
# Pr3TaO7
Calculated powder XRD pattern, Cu Ka. Input: a PBE-relaxed structure.
No peak broadening, texture or thermal motion is included.

Cell and atoms:
Cell lengths 11.1026, 7.6189, 7.7688 Å; angles 90.00, 90.00, 90.00 degrees
Space group Cmcm (No. 63)
Asymmetric unit:
Pr (0.0000, 0.0000, 0.0000)
Pr (0.2267, 0.2944, 0.2500)
Ta (0.0000, 0.5000, 0.0000)
O (0.0000, 0.4352, 0.2500)
O (0.1256, 0.3137, 0.5330)
O (0.1312, 0.0219, 0.2500)

The 8 most intense peaks (2θ from 10° to 90°), in order of falling intensity:
- d 3.183, I = 100.0
- d 3.141, I = 91.3
- d 1.943, I = 67.5
- d 2.720, I = 44.3
- d 1.652, I = 27.8
- d 2.776, I = 23.3
- d 1.634, I = 18.2
- d 1.664, I = 10.9

---

Record 2
# PrTaTiO6
Calculated powder XRD pattern, Cu Ka. Input: a PBE-relaxed structure.
No peak broadening, texture or thermal motion is included.

Cell and atoms:
Cell lengths 11.0969, 5.4271, 7.5779 Å; angles 90.00, 90.00, 90.00 degrees
Space group Pna2_1 (No. 33)
Asymmetric unit:
Pr (0.0433, 0.0442, 0.0000)
Ta (0.1437, 0.5380, 0.2567)
Ti (0.1432, 0.5350, 0.7445)
O (0.0256, 0.2713, 0.7142)
O (0.0270, 0.2670, 0.2887)
O (0.1228, 0.6538, 0.5035)
O (0.1443, 0.4533, 0.0000)
O (0.2097, 0.8689, 0.8093)
O (0.2120, 0.8738, 0.1939)

The 8 most intense peaks (2θ from 10° to 90°), in order of falling intensity:
- d 2.992, I = 100.0
- d 3.057, I = 74.2
- d 4.477, I = 43.5
- d 4.100, I = 41.0
- d 2.713, I = 31.6
- d 3.129, I = 24.2
- d 1.610, I = 23.6
- d 2.240, I = 21.7

---

Record 3
# Pr2TeO2
Calculated powder XRD pattern, Cu Ka. Input: a PBE-relaxed structure.
No peak broadening, texture or thermal motion is included.

Cell and atoms:
Cell lengths 4.1052, 4.1052, 13.1061 Å; angles 90.00, 90.00, 90.00 degrees
Space group I4/mmm (No. 139)
Asymmetric unit:
Pr (0.0000, 0.0000, 0.1597)
Te (0.0000, 0.0000, 0.5000)
O (0.0000, 0.5000, 0.2500)

The 8 most intense peaks (2θ from 10° to 90°), in order of falling intensity:
- d 2.992, I = 100.0
- d 2.903, I = 39.1
- d 1.693, I = 37.3
- d 1.745, I = 22.8
- d 2.053, I = 20.1
- d 1.116, I = 10.5
- d 1.496, I = 10.4
- d 1.102, I = 9.5

---

Record 4
# Pr2TiO5
Calculated powder XRD pattern, Cu Ka. Input: a PBE-relaxed structure.
No peak broadening, texture or thermal motion is included.

Cell and atoms:
Cell lengths 10.9514, 3.9004, 11.5245 Å; angles 90.00, 90.00, 90.00 degrees
Space group Pnma (No. 62)
Asymmetric unit:
Pr (0.1023, 0.2500, 0.2196)
Pr (0.1368, 0.2500, 0.5581)
Ti (0.1880, 0.2500, 0.8749)
O (0.0084, 0.7500, 0.6026)
O (0.0302, 0.2500, 0.8357)
O (0.2252, 0.2500, 0.0357)
O (0.2260, 0.7500, 0.2300)
O (0.2381, 0.7500, 0.8787)

The 8 most intense peaks (2θ from 10° to 90°), in order of falling intensity:
- d 3.177, I = 100.0
- d 3.145, I = 71.9
- d 2.737, I = 45.9
- d 1.936, I = 34.8
- d 7.939, I = 23.9
- d 3.625, I = 23.6
- d 1.657, I = 21.5
- d 1.950, I = 21.2

---

Record 5
# PrTi2ZnO6
Calculated powder XRD pattern, Cu Ka. Input: a PBE-relaxed structure.
No peak broadening, texture or thermal motion is included.

Cell and atoms:
Cell lengths 7.7198, 5.6406, 5.3805 Å; angles 90.00, 90.00, 90.00 degrees
Space group Pmn2_1 (No. 31)
Asymmetric unit:
Pr (0.0000, 0.1901, 0.0000)
Ti (0.2484, 0.2731, 0.4895)
Zn (0.0000, 0.7957, 0.4916)
O (0.0000, 0.2660, 0.5637)
O (0.0000, 0.7726, 0.8588)
O (0.1948, 0.9431, 0.2916)
O (0.2029, 0.4578, 0.1886)

The 8 most intense peaks (2θ from 10° to 90°), in order of falling intensity:
- d 2.741, I = 100.0
- d 1.563, I = 24.0
- d 2.690, I = 23.7
- d 1.947, I = 23.4
- d 2.820, I = 21.2
- d 1.930, I = 15.9
- d 2.498, I = 15.4
- d 3.893, I = 12.3

---

Record 6
# PrTlO3
Calculated powder XRD pattern, Cu Ka. Input: a PBE-relaxed structure.
No peak broadening, texture or thermal motion is included.

Cell and atoms:
Cell lengths 4.6451, 4.6451, 4.6451 Å; angles 90.00, 90.00, 90.00 degrees
Space group Pm-3m (No. 221)
Asymmetric unit:
Pr (0.0000, 0.0000, 0.0000)
Tl (0.5000, 0.5000, 0.5000)
O (0.0000, 0.0000, 0.5000)

The 8 most intense peaks (2θ from 10° to 90°), in order of falling intensity:
- d 3.285, I = 100.0
- d 1.896, I = 43.8
- d 2.323, I = 28.5
- d 1.241, I = 22.5
- d 1.469, I = 19.4
- d 1.642, I = 19.0
- d 1.095, I = 12.1
- d 1.341, I = 6.3

---

Record 7
# PrZrO14
Calculated powder XRD pattern, Cu Ka. Input: a PBE-relaxed structure.
No peak broadening, texture or thermal motion is included.

Cell and atoms:
Cell lengths 10.9687, 10.9687, 10.9687 Å; angles 90.00, 90.00, 90.00 degrees
Space group Fd-3m (No. 227, origin choice 2)
Asymmetric unit:
Pr (0.1250, 0.1250, 0.1250)
Zr (0.1250, 0.1250, 0.6250)
O (0.0000, 0.0000, 0.0000)
O (0.0308, 0.0308, 0.3711)

The 8 most intense peaks (2θ from 10° to 90°), in order of falling intensity:
- d 3.878, I = 100.0
- d 2.239, I = 96.3
- d 1.734, I = 34.0
- d 1.293, I = 25.7
- d 1.466, I = 24.7
- d 1.939, I = 17.7
- d 2.742, I = 16.3
- d 1.583, I = 11.6

---

Record 8
# Pt3O4
Calculated powder XRD pattern, Cu Ka. Input: a PBE-relaxed structure.
No peak broadening, texture or thermal motion is included.

Cell and atoms:
Cell lengths 5.6657, 5.6657, 5.6657 Å; angles 90.00, 90.00, 90.00 degrees
Space group Pm-3n (No. 223)
Asymmetric unit:
Pt (0.0000, 0.2500, 0.5000)
O (0.2500, 0.2500, 0.2500)

The 8 most intense peaks (2θ from 10° to 90°), in order of falling intensity:
- d 2.534, I = 100.0
- d 4.006, I = 40.6
- d 1.636, I = 24.3
- d 1.571, I = 23.7
- d 1.236, I = 21.7
- d 2.313, I = 19.4
- d 1.416, I = 11.2
- d 1.514, I = 10.5

---

Record 9
# PtO3
Calculated powder XRD pattern, Cu Ka. Input: a PBE-relaxed structure.
No peak broadening, texture or thermal motion is included.

Cell and atoms:
Cell lengths 4.8950, 4.8950, 12.8183 Å; angles 90.00, 90.00, 120.00 degrees
Space group R-3c (No. 167, hexagonal axes)
Asymmetric unit:
Pt (0.0000, 0.0000, 0.0000)
O (0.0000, 0.3246, 0.2500)

The 8 most intense peaks (2θ from 10° to 90°), in order of falling intensity:
- d 3.536, I = 100.0
- d 2.556, I = 44.3
- d 2.447, I = 29.3
- d 1.609, I = 26.6
- d 2.012, I = 22.6
- d 1.554, I = 19.6
- d 1.433, I = 14.8
- d 1.768, I = 14.3

---

Record 10
# PtO3
Calculated powder XRD pattern, Cu Ka. Input: a PBE-relaxed structure.
No peak broadening, texture or thermal motion is included.

Cell and atoms:
Cell lengths 5.0275, 7.2101, 4.9286 Å; angles 90.00, 90.00, 90.00 degrees
Space group Pnma (No. 62)
Asymmetric unit:
Pt (0.0000, 0.0000, 0.0000)
O (0.0447, 0.2500, 0.1591)
O (0.1523, 0.0786, 0.6492)

The 8 most intense peaks (2θ from 10° to 90°), in order of falling intensity:
- d 3.519, I = 100.0
- d 2.517, I = 94.9
- d 3.605, I = 55.8
- d 1.604, I = 24.6
- d 2.034, I = 23.6
- d 1.581, I = 22.5
- d 2.062, I = 19.7
- d 1.433, I = 18.5

---

Record 11
# PtO2
Calculated powder XRD pattern, Cu Ka. Input: a PBE-relaxed structure.
No peak broadening, texture or thermal motion is included.

Cell and atoms:
Cell lengths 4.5547, 4.6114, 3.1918 Å; angles 90.00, 90.00, 90.00 degrees
Space group Pnnm (No. 58)
Asymmetric unit:
Pt (0.0000, 0.0000, 0.0000)
O (0.1376, 0.2408, 0.5000)

The 8 most intense peaks (2θ from 10° to 90°), in order of falling intensity:
- d 3.241, I = 100.0
- d 2.624, I = 55.4
- d 2.614, I = 43.9
- d 1.729, I = 39.7
- d 1.720, I = 32.7
- d 2.277, I = 19.3
- d 1.432, I = 18.1
- d 1.620, I = 14.1